(1)
Diffraction record for Ce5Pu3. The powder XRD pattern is computed, not measured: it uses a DFT-relaxed cell (GGA-PBE, Alexandria) and Cu Kα.

Structural model:
Unit cell a=3.3909 b=9.0474 c=6.5596 alpha=90.00 beta=92.07 gamma=90.00
Positions (direct):
1 Ce 0.0000 0.0000 0.0000
2 Ce 0.0000 0.0121 0.5000
3 Ce 0.0000 0.4856 0.5000
4 Ce 0.4352 0.7483 0.2513
5 Ce 0.5648 0.7483 0.7487
6 Pu 0.0000 0.5096 0.0000
7 Pu 0.4000 0.2477 0.7550
8 Pu 0.6000 0.2477 0.2450

Largest 10 diffraction maxima, by intensity, 10 to 80 degrees two-theta:
2θ = 33.77°, intensity 100; 2θ = 33.03°, intensity 90; 2θ = 37.48°, intensity 31; 2θ = 39.86°, intensity 31; 2θ = 38.91°, intensity 31; 2θ = 56.92°, intensity 19; 2θ = 55.86°, intensity 19; 2θ = 30.89°, intensity 13; 2θ = 68.49°, intensity 12; 2θ = 67.64°, intensity 12



(2)
Diffraction record for Sc2ZnB2Os5. The powder XRD pattern is computed, not measured: it uses a DFT-relaxed cell (GGA-PBE, Alexandria) and Cu Kα.

Structural model:
Unit cell a=9.4260 b=9.4260 c=3.0409 alpha=90.00 beta=90.00 gamma=90.00
Positions (direct):
1 Sc 0.1761 0.3239 0.0000
2 Sc 0.3239 0.8239 0.0000
3 Sc 0.6761 0.1761 0.0000
4 Sc 0.8239 0.6761 0.0000
5 Zn 0.0000 0.0000 0.0000
6 Zn 0.5000 0.5000 0.0000
7 B 0.1260 0.6260 0.0000
8 B 0.3740 0.1260 0.0000
9 B 0.6260 0.8740 0.0000
10 B 0.8740 0.3740 0.0000
11 Os 0.0000 0.5000 0.5000
12 Os 0.0689 0.7844 0.5000
13 Os 0.2156 0.0689 0.5000
14 Os 0.2844 0.5689 0.5000
15 Os 0.4311 0.2844 0.5000
16 Os 0.5000 0.0000 0.5000
17 Os 0.5689 0.7156 0.5000
18 Os 0.7156 0.4311 0.5000
19 Os 0.7844 0.9311 0.5000
20 Os 0.9311 0.2156 0.5000

Largest 10 diffraction maxima, by intensity, 10 to 80 degrees two-theta:
2θ = 42.47°, intensity 100; 2θ = 29.37°, intensity 80; 2θ = 39.41°, intensity 80; 2θ = 45.77°, intensity 54; 2θ = 42.91°, intensity 48; 2θ = 34.30°, intensity 47; 2θ = 36.43°, intensity 45; 2θ = 49.91°, intensity 44; 2θ = 78.31°, intensity 43; 2θ = 29.98°, intensity 33



(3)
Diffraction record for Pm3Be2Ir3. The powder XRD pattern is computed, not measured: it uses a DFT-relaxed cell (GGA-PBE, Alexandria) and Cu Kα.

Structural model:
Unit cell a=5.8184 b=5.8184 c=14.6852 alpha=90.00 beta=90.00 gamma=139.58
Positions (direct):
1 Pm 0.0796 0.9204 0.7500
2 Pm 0.3603 0.6397 0.5988
3 Pm 0.3603 0.6397 0.9012
4 Pm 0.6397 0.3603 0.0988
5 Pm 0.6397 0.3603 0.4012
6 Pm 0.9204 0.0796 0.2500
7 Be 0.3423 0.6577 0.1130
8 Be 0.3423 0.6577 0.3870
9 Be 0.6577 0.3423 0.6130
10 Be 0.6577 0.3423 0.8870
11 Ir 0.0919 0.9081 0.5551
12 Ir 0.0919 0.9081 0.9449
13 Ir 0.2239 0.7761 0.2500
14 Ir 0.7761 0.2239 0.7500
15 Ir 0.9081 0.0919 0.0551
16 Ir 0.9081 0.0919 0.4449

Largest 10 diffraction maxima, by intensity, 10 to 80 degrees two-theta:
2θ = 29.90°, intensity 100; 2θ = 33.77°, intensity 79; 2θ = 45.66°, intensity 60; 2θ = 34.07°, intensity 39; 2θ = 36.72°, intensity 34; 2θ = 45.10°, intensity 34; 2θ = 23.58°, intensity 28; 2θ = 33.38°, intensity 24; 2θ = 34.68°, intensity 20; 2θ = 20.27°, intensity 20



(4)
Diffraction record for PrZn3Ga3. The powder XRD pattern is computed, not measured: it uses a DFT-relaxed cell (GGA-PBE, Alexandria) and Cu Kα.

Structural model:
Unit cell a=7.0633 b=4.3957 c=9.1303 alpha=90.00 beta=111.32 gamma=90.00
Positions (direct):
1 Pr 0.1447 0.2500 0.2461
2 Pr 0.8553 0.7500 0.7539
3 Zn 0.2224 0.2500 0.8861
4 Zn 0.4407 0.7500 0.8386
5 Zn 0.4597 0.2500 0.6828
6 Zn 0.5403 0.7500 0.3172
7 Zn 0.5593 0.2500 0.1614
8 Zn 0.7776 0.7500 0.1139
9 Ga 0.0478 0.2500 0.5824
10 Ga 0.2618 0.7500 0.0458
11 Ga 0.3611 0.7500 0.5189
12 Ga 0.6389 0.2500 0.4811
13 Ga 0.7382 0.2500 0.9542
14 Ga 0.9522 0.7500 0.4176

Largest 10 diffraction maxima, by intensity, 10 to 80 degrees two-theta:
2θ = 41.07°, intensity 100; 2θ = 34.04°, intensity 88; 2θ = 34.44°, intensity 77; 2θ = 32.56°, intensity 63; 2θ = 37.76°, intensity 56; 2θ = 35.47°, intensity 55; 2θ = 39.33°, intensity 48; 2θ = 28.81°, intensity 40; 2θ = 38.75°, intensity 38; 2θ = 35.95°, intensity 36



(5)
Diffraction record for Tm4SbTe2. The powder XRD pattern is computed, not measured: it uses a DFT-relaxed cell (GGA-PBE, Alexandria) and Cu Kα.

Structural model:
Unit cell a=8.1187 b=8.1187 c=8.1187 alpha=108.96 beta=108.96 gamma=110.50
Positions (direct):
1 Tm 0.0033 0.7506 0.6345
2 Tm 0.1161 0.3687 0.3655
3 Tm 0.1187 0.2533 0.7526
4 Tm 0.2494 0.9967 0.3655
5 Tm 0.5006 0.3661 0.2474
6 Tm 0.6313 0.8839 0.6345
7 Tm 0.6339 0.4994 0.7526
8 Tm 0.7467 0.8813 0.2474
9 Sb 0.0000 0.0000 0.0000
10 Sb 0.7500 0.2500 0.5000
11 Te 0.3226 0.6250 0.1976
12 Te 0.3750 0.6774 0.8024
13 Te 0.4274 0.1250 0.8024
14 Te 0.8750 0.5726 0.1976

Largest 10 diffraction maxima, by intensity, 10 to 80 degrees two-theta:
2θ = 30.49°, intensity 100; 2θ = 35.81°, intensity 96; 2θ = 35.66°, intensity 85; 2θ = 30.00°, intensity 55; 2θ = 26.73°, intensity 49; 2θ = 40.62°, intensity 39; 2θ = 36.07°, intensity 30; 2θ = 13.27°, intensity 22; 2θ = 49.88°, intensity 21; 2θ = 59.28°, intensity 21



(6)
Diffraction record for NdPuSe. The powder XRD pattern is computed, not measured: it uses a DFT-relaxed cell (GGA-PBE, Alexandria) and Cu Kα.

Structural model:
Unit cell a=17.1761 b=3.7011 c=4.6149 alpha=90.00 beta=90.00 gamma=90.00
Positions (direct):
1 Nd 0.1736 0.2500 0.1174
2 Nd 0.3264 0.7500 0.6174
3 Nd 0.6736 0.2500 0.3826
4 Nd 0.8264 0.7500 0.8826
5 Pu 0.0084 0.2500 0.6584
6 Pu 0.4916 0.7500 0.1584
7 Pu 0.5084 0.2500 0.8416
8 Pu 0.9916 0.7500 0.3416
9 Se 0.1496 0.7500 0.6136
10 Se 0.3504 0.2500 0.1136
11 Se 0.6496 0.7500 0.8864
12 Se 0.8504 0.2500 0.3864

Largest 10 diffraction maxima, by intensity, 10 to 80 degrees two-theta:
2θ = 32.72°, intensity 100; 2θ = 10.30°, intensity 74; 2θ = 31.25°, intensity 72; 2θ = 37.54°, intensity 70; 2θ = 24.78°, intensity 43; 2θ = 53.90°, intensity 35; 2θ = 49.22°, intensity 33; 2θ = 46.69°, intensity 30; 2θ = 19.92°, intensity 30; 2θ = 31.42°, intensity 30



(7)
Diffraction record for TbCe3Th2P6. The powder XRD pattern is computed, not measured: it uses a DFT-relaxed cell (GGA-PBE, Alexandria) and Cu Kα.

Structural model:
Unit cell a=7.1042 b=7.1042 c=7.1089 alpha=99.59 beta=99.59 gamma=119.99
Positions (direct):
1 Tb 0.0000 0.0000 0.0000
2 Ce 0.1669 0.8331 0.5000
3 Ce 0.5000 0.5000 0.5000
4 Ce 0.8331 0.1669 0.5000
5 Th 0.3335 0.6665 0.0000
6 Th 0.6665 0.3335 0.0000
7 P 0.0835 0.4138 0.2506
8 P 0.2464 0.2464 0.7485
9 P 0.4138 0.0835 0.2506
10 P 0.5862 0.9165 0.7494
11 P 0.7536 0.7536 0.2515
12 P 0.9165 0.5862 0.7494

Largest 10 diffraction maxima, by intensity, 10 to 80 degrees two-theta:
2θ = 30.82°, intensity 100; 2θ = 26.61°, intensity 91; 2θ = 44.15°, intensity 74; 2θ = 52.29°, intensity 34; 2θ = 72.91°, intensity 34; 2θ = 54.81°, intensity 26; 2θ = 70.78°, intensity 19; 2θ = 64.21°, intensity 12; 2θ = 52.31°, intensity 11; 2θ = 13.21°, intensity 5



(8)
Diffraction record for ZnIrRh2. The powder XRD pattern is computed, not measured: it uses a DFT-relaxed cell (GGA-PBE, Alexandria) and Cu Kα.

Structural model:
Unit cell a=8.9925 b=2.7434 c=4.6776 alpha=90.00 beta=100.17 gamma=90.00
Positions (direct):
1 Zn 0.0000 0.0000 0.0000
2 Zn 0.5000 0.5000 0.0000
3 Ir 0.2528 0.5000 0.2729
4 Ir 0.7528 0.0000 0.2729
5 Rh 0.2480 0.0000 0.7701
6 Rh 0.4986 0.0000 0.4977
7 Rh 0.7480 0.5000 0.7701
8 Rh 0.9986 0.5000 0.4977

Largest 10 diffraction maxima, by intensity, 10 to 80 degrees two-theta:
2θ = 40.49°, intensity 100; 2θ = 40.82°, intensity 97; 2θ = 47.13°, intensity 65; 2θ = 47.64°, intensity 31; 2θ = 69.32°, intensity 29; 2θ = 69.19°, intensity 20; 2θ = 20.06°, intensity 18; 2θ = 19.28°, intensity 13; 2θ = 68.39°, intensity 10; 2θ = 38.64°, intensity 8